1.
This entry pairs a crystal structure of TiGaPdRh with its simulated powder X-ray diffraction pattern. Radiation: λ = 1.5418 Å (Cu Kα). Structure: a crystal structure in Alexandria, relaxed with GGA-PBE.
Neutral-atom scattering factors, no anomalous dispersion.

Principal peaks in the range 10 to 80 degrees two-theta, by angle:
2θ = 24.39°, d 3.649, intensity 7; 2θ = 31.49°, d 2.841, intensity 8; 2θ = 40.23°, d 2.242, intensity 100; 2θ = 45.13°, d 2.009, intensity 36; 2θ = 49.99°, d 1.824, intensity 13; 2θ = 51.96°, d 1.760, intensity 4; 2θ = 60.29°, d 1.535, intensity 2; 2θ = 65.73°, d 1.421, intensity 11; 2θ = 69.61°, d 1.351, intensity 19; 2θ = 79.95°, d 1.200, intensity 25

Crystal structure
a b c (Å): 4.018 4.018 7.298
angles (deg): 90.00 90.00 90.00
Element x y z (fractional)
Ti (0.000, 0.000, 0.000)
Ti (0.500, 0.500, 0.500)
Ga (0.000, 0.000, 0.500)
Ga (0.500, 0.500, 0.000)
Pd (0.000, 0.500, 0.750)
Pd (0.500, 0.000, 0.250)
Rh (0.000, 0.500, 0.250)
Rh (0.500, 0.000, 0.750)



2.
This entry pairs a crystal structure of Er4MgZr4O14 with its simulated powder X-ray diffraction pattern. Radiation: λ = 1.5418 Å (Cu Kα). Structure: a crystal structure in Alexandria, relaxed with GGA-PBE.
Neutral-atom scattering factors, no anomalous dispersion.

Principal peaks in the range 10 to 80 degrees two-theta, by angle:
2θ = 26.25°, d 3.395, intensity 12; 2θ = 27.88°, d 3.200, intensity 100; 2θ = 30.17°, d 2.962, intensity 91; 2θ = 31.60°, d 2.832, intensity 21; 2θ = 34.65°, d 2.589, intensity 44; 2θ = 46.84°, d 1.940, intensity 19; 2θ = 47.59°, d 1.911, intensity 49; 2θ = 52.67°, d 1.738, intensity 16; 2θ = 56.73°, d 1.623, intensity 26; 2θ = 60.63°, d 1.527, intensity 23

Crystal structure
a b c (Å): 3.476 7.759 11.327
angles (deg): 90.00 90.00 90.00
Element x y z (fractional)
Er (0.000, 0.000, 0.000)
Er (0.000, 0.500, 0.485)
Er (0.500, 0.228, 0.725)
Er (0.500, 0.772, 0.725)
Mg (0.000, 0.500, 0.150)
Zr (0.000, 0.000, 0.486)
Zr (0.000, 0.500, 0.903)
Zr (0.500, 0.217, 0.251)
Zr (0.500, 0.783, 0.251)
O (0.000, 0.229, 0.867)
O (0.000, 0.242, 0.378)
O (0.000, 0.250, 0.144)
O (0.000, 0.277, 0.609)
O (0.000, 0.723, 0.609)
O (0.000, 0.750, 0.144)
O (0.000, 0.758, 0.378)
O (0.000, 0.771, 0.867)
O (0.500, 0.000, 0.126)
O (0.500, 0.000, 0.362)
O (0.500, 0.000, 0.595)
O (0.500, 0.500, 0.017)
O (0.500, 0.500, 0.261)
O (0.500, 0.500, 0.780)



3.
This entry pairs a crystal structure of DyTmAsSe with its simulated powder X-ray diffraction pattern. Radiation: λ = 1.5418 Å (Cu Kα). Structure: a crystal structure in Alexandria, relaxed with GGA-PBE.
Neutral-atom scattering factors, no anomalous dispersion.

Principal peaks in the range 10 to 80 degrees two-theta, by angle:
2θ = 26.08°, d 3.417, intensity 30; 2θ = 27.10°, d 3.290, intensity 32; 2θ = 30.89°, d 2.895, intensity 23; 2θ = 33.48°, d 2.677, intensity 100; 2θ = 39.64°, d 2.274, intensity 39; 2θ = 45.36°, d 1.999, intensity 53; 2θ = 50.66°, d 1.802, intensity 16; 2θ = 57.54°, d 1.602, intensity 21; 2θ = 71.45°, d 1.320, intensity 23; 2θ = 76.15°, d 1.250, intensity 19

Crystal structure
a b c (Å): 3.998 3.998 21.100
angles (deg): 90.00 90.00 120.00
Element x y z (fractional)
Dy (0.000, 0.000, 0.000)
Dy (0.333, 0.667, 0.667)
Dy (0.667, 0.333, 0.333)
Tm (0.000, 0.000, 0.181)
Tm (0.333, 0.667, 0.847)
Tm (0.667, 0.333, 0.514)
As (0.000, 0.000, 0.591)
As (0.333, 0.667, 0.257)
As (0.667, 0.333, 0.924)
Se (0.000, 0.000, 0.424)
Se (0.333, 0.667, 0.090)
Se (0.667, 0.333, 0.757)



4.
This entry pairs a crystal structure of AsS3Br with its simulated powder X-ray diffraction pattern. Radiation: λ = 1.5418 Å (Cu Kα). Structure: a crystal structure in Alexandria, relaxed with GGA-PBE.
Neutral-atom scattering factors, no anomalous dispersion.

Principal peaks in the range 10 to 80 degrees two-theta, by angle:
2θ = 11.30°, d 7.827, intensity 100; 2θ = 21.07°, d 4.217, intensity 55; 2θ = 21.60°, d 4.115, intensity 62; 2θ = 24.44°, d 3.642, intensity 39; 2θ = 29.67°, d 3.011, intensity 35; 2θ = 30.65°, d 2.917, intensity 55; 2θ = 31.55°, d 2.836, intensity 55; 2θ = 44.06°, d 2.055, intensity 23; 2θ = 45.59°, d 1.990, intensity 22; 2θ = 51.55°, d 1.773, intensity 23

Crystal structure
a b c (Å): 8.434 7.827 4.714
angles (deg): 90.00 90.00 90.00
Element x y z (fractional)
As (0.000, 0.038, 0.000)
As (0.500, 0.962, 0.500)
S (0.000, 0.768, 0.492)
S (0.181, 0.864, 0.753)
S (0.319, 0.136, 0.253)
S (0.500, 0.232, 0.992)
S (0.681, 0.136, 0.253)
S (0.819, 0.864, 0.753)
Br (0.000, 0.307, 0.734)
Br (0.500, 0.693, 0.234)



5.
This entry pairs a crystal structure of La3Pr with its simulated powder X-ray diffraction pattern. Radiation: λ = 1.5418 Å (Cu Kα). Structure: a crystal structure in Alexandria, relaxed with GGA-PBE.
Neutral-atom scattering factors, no anomalous dispersion.

Principal peaks in the range 10 to 80 degrees two-theta, by angle:
2θ = 27.43°, d 3.252, intensity 23; 2θ = 29.50°, d 3.028, intensity 26; 2θ = 31.22°, d 2.865, intensity 100; 2θ = 40.72°, d 2.216, intensity 16; 2θ = 48.48°, d 1.878, intensity 19; 2θ = 53.42°, d 1.715, intensity 22; 2θ = 57.78°, d 1.596, intensity 23; 2θ = 58.80°, d 1.570, intensity 16; 2θ = 75.01°, d 1.266, intensity 8; 2θ = 79.53°, d 1.205, intensity 9

Crystal structure
a b c (Å): 3.752 6.055 6.511
angles (deg): 90.00 90.00 90.00
Element x y z (fractional)
La (0.000, 0.000, 0.000)
La (0.000, 0.500, 0.331)
La (0.500, 0.500, 0.831)
Pr (0.500, 0.000, 0.502)



6.
This entry pairs a crystal structure of Hf6NiOs with its simulated powder X-ray diffraction pattern. Radiation: λ = 1.5418 Å (Cu Kα). Structure: a crystal structure in Alexandria, relaxed with GGA-PBE.
Neutral-atom scattering factors, no anomalous dispersion.

Principal peaks in the range 10 to 80 degrees two-theta, by angle:
2θ = 35.42°, d 2.534, intensity 100; 2θ = 37.60°, d 2.392, intensity 48; 2θ = 38.21°, d 2.355, intensity 94; 2θ = 40.82°, d 2.210, intensity 42; 2θ = 49.28°, d 1.849, intensity 16; 2θ = 56.70°, d 1.623, intensity 30; 2θ = 65.85°, d 1.418, intensity 14; 2θ = 70.05°, d 1.343, intensity 16; 2θ = 70.83°, d 1.330, intensity 13; 2θ = 72.59°, d 1.302, intensity 14

Crystal structure
a b c (Å): 6.395 8.841 5.832
angles (deg): 90.00 107.35 90.00
Element x y z (fractional)
Hf (0.090, 0.249, 0.269)
Hf (0.090, 0.751, 0.269)
Hf (0.243, 0.500, 0.995)
Hf (0.257, 0.000, 0.005)
Hf (0.410, 0.251, 0.731)
Hf (0.410, 0.749, 0.731)
Hf (0.590, 0.251, 0.269)
Hf (0.590, 0.749, 0.269)
Hf (0.743, 0.000, 0.995)
Hf (0.757, 0.500, 0.005)
Hf (0.910, 0.249, 0.731)
Hf (0.910, 0.751, 0.731)
Ni (0.000, 0.000, 0.500)
Ni (0.500, 0.500, 0.500)
Os (0.000, 0.500, 0.500)
Os (0.500, 0.000, 0.500)



7.
This entry pairs a crystal structure of ThI3 with its simulated powder X-ray diffraction pattern. Radiation: λ = 1.5418 Å (Cu Kα). Structure: a crystal structure in Alexandria, relaxed with GGA-PBE.
Neutral-atom scattering factors, no anomalous dispersion.

Principal peaks in the range 10 to 80 degrees two-theta, by angle:
2θ = 10.17°, d 8.698, intensity 100; 2θ = 11.79°, d 7.507, intensity 67; 2θ = 27.21°, d 3.277, intensity 21; 2θ = 28.88°, d 3.092, intensity 23; 2θ = 30.03°, d 2.976, intensity 39; 2θ = 30.84°, d 2.899, intensity 26; 2θ = 31.59°, d 2.832, intensity 27; 2θ = 33.12°, d 2.705, intensity 28; 2θ = 35.24°, d 2.547, intensity 22; 2θ = 36.02°, d 2.494, intensity 19

Crystal structure
a b c (Å): 11.146 11.146 14.951
angles (deg): 90.00 90.00 128.70
Element x y z (fractional)
Th (0.000, 0.000, 0.000)
Th (0.000, 0.000, 0.250)
Th (0.000, 0.000, 0.500)
Th (0.000, 0.000, 0.750)
Th (0.002, 0.657, 0.000)
Th (0.343, 0.998, 0.500)
Th (0.657, 0.002, 0.500)
Th (0.998, 0.343, 0.000)
I (0.000, 0.500, 0.179)
I (0.000, 0.500, 0.821)
I (0.030, 0.779, 0.373)
I (0.030, 0.779, 0.627)
I (0.219, 0.310, 0.129)
I (0.219, 0.310, 0.871)
I (0.221, 0.970, 0.127)
I (0.221, 0.970, 0.873)
I (0.307, 0.690, 0.500)
I (0.310, 0.219, 0.371)
I (0.310, 0.219, 0.629)
I (0.310, 0.693, 0.000)
I (0.500, 0.000, 0.321)
I (0.500, 0.000, 0.679)
I (0.690, 0.307, 0.000)
I (0.690, 0.781, 0.371)
I (0.690, 0.781, 0.629)
I (0.693, 0.310, 0.500)
I (0.779, 0.030, 0.127)
I (0.779, 0.030, 0.873)
I (0.781, 0.690, 0.129)
I (0.781, 0.690, 0.871)
I (0.970, 0.221, 0.373)
I (0.970, 0.221, 0.627)



8.
This entry pairs a crystal structure of Ta6Nb2Fe with its simulated powder X-ray diffraction pattern. Radiation: λ = 1.5418 Å (Cu Kα). Structure: a crystal structure in Alexandria, relaxed with GGA-PBE.
Neutral-atom scattering factors, no anomalous dispersion.

Principal peaks in the range 10 to 80 degrees two-theta, by angle:
2θ = 28.48°, d 3.134, intensity 10; 2θ = 36.84°, d 2.440, intensity 18; 2θ = 37.12°, d 2.422, intensity 100; 2θ = 37.54°, d 2.396, intensity 37; 2θ = 38.84°, d 2.319, intensity 61; 2θ = 39.21°, d 2.298, intensity 14; 2θ = 47.27°, d 1.923, intensity 12; 2θ = 53.61°, d 1.709, intensity 16; 2θ = 67.47°, d 1.388, intensity 18; 2θ = 68.59°, d 1.368, intensity 9

Crystal structure
a b c (Å): 8.422 8.422 4.792
angles (deg): 90.00 90.00 109.18
Element x y z (fractional)
Ta (0.011, 0.178, 0.000)
Ta (0.101, 0.669, 0.500)
Ta (0.178, 0.011, 0.500)
Ta (0.213, 0.547, 0.000)
Ta (0.331, 0.899, 0.000)
Ta (0.453, 0.787, 0.500)
Ta (0.547, 0.213, 0.500)
Ta (0.669, 0.101, 0.000)
Ta (0.787, 0.453, 0.000)
Ta (0.822, 0.989, 0.500)
Ta (0.899, 0.331, 0.500)
Ta (0.989, 0.822, 0.000)
Nb (0.230, 0.361, 0.500)
Nb (0.361, 0.230, 0.000)
Nb (0.639, 0.770, 0.000)
Nb (0.770, 0.639, 0.500)
Fe (0.500, 0.500, 0.250)
Fe (0.500, 0.500, 0.750)



9.
This entry pairs a crystal structure of HgSCl6 with its simulated powder X-ray diffraction pattern. Radiation: λ = 1.5418 Å (Cu Kα). Structure: a crystal structure in Alexandria, relaxed with GGA-PBE.
Neutral-atom scattering factors, no anomalous dispersion.

Principal peaks in the range 10 to 80 degrees two-theta, by angle:
2θ = 16.88°, d 5.254, intensity 39; 2θ = 19.12°, d 4.643, intensity 100; 2θ = 26.29°, d 3.390, intensity 39; 2θ = 30.65°, d 2.917, intensity 18; 2θ = 32.15°, d 2.784, intensity 59; 2θ = 32.88°, d 2.724, intensity 19; 2θ = 34.13°, d 2.627, intensity 18; 2θ = 42.44°, d 2.130, intensity 47; 2θ = 44.71°, d 2.027, intensity 19; 2θ = 49.56°, d 1.839, intensity 23

Crystal structure
a b c (Å): 6.807 6.807 6.807
angles (deg): 55.81 55.81 55.81
Element x y z (fractional)
Hg (0.000, 0.000, 0.000)
S (0.500, 0.500, 0.500)
Cl (0.117, 0.723, 0.427)
Cl (0.277, 0.573, 0.883)
Cl (0.427, 0.117, 0.723)
Cl (0.573, 0.883, 0.277)
Cl (0.723, 0.427, 0.117)
Cl (0.883, 0.277, 0.573)



10.
This entry pairs a crystal structure of Ce2Ge3Au with its simulated powder X-ray diffraction pattern. Radiation: λ = 1.5418 Å (Cu Kα). Structure: a crystal structure in Alexandria, relaxed with GGA-PBE.
Neutral-atom scattering factors, no anomalous dispersion.

Principal peaks in the range 10 to 80 degrees two-theta, by angle:
2θ = 23.14°, d 3.844, intensity 10; 2θ = 32.11°, d 2.787, intensity 100; 2θ = 41.48°, d 2.177, intensity 17; 2θ = 41.66°, d 2.168, intensity 34; 2θ = 43.60°, d 2.076, intensity 15; 2θ = 53.43°, d 1.715, intensity 16; 2θ = 53.63°, d 1.709, intensity 8; 2θ = 61.74°, d 1.502, intensity 10; 2θ = 61.88°, d 1.499, intensity 21; 2θ = 72.82°, d 1.299, intensity 9

Crystal structure
a b c (Å): 8.672 8.573 6.016
angles (deg): 70.47 68.69 40.83
Element x y z (fractional)
Ce (0.245, 0.755, 0.755)
Ce (0.250, 0.250, 0.250)
Ce (0.750, 0.750, 0.750)
Ce (0.755, 0.245, 0.245)
Ge (0.165, 0.165, 0.835)
Ge (0.167, 0.668, 0.332)
Ge (0.332, 0.833, 0.167)
Ge (0.668, 0.167, 0.833)
Ge (0.833, 0.332, 0.668)
Ge (0.835, 0.835, 0.165)
Au (0.333, 0.333, 0.667)
Au (0.667, 0.667, 0.333)



11.
This entry pairs a crystal structure of MnAl2S with its simulated powder X-ray diffraction pattern. Radiation: λ = 1.5418 Å (Cu Kα). Structure: a crystal structure in Alexandria, relaxed with GGA-PBE.
Neutral-atom scattering factors, no anomalous dispersion.

Principal peaks in the range 10 to 80 degrees two-theta, by angle:
2θ = 25.37°, d 3.511, intensity 19; 2θ = 32.94°, d 2.719, intensity 13; 2θ = 36.18°, d 2.483, intensity 100; 2θ = 37.72°, d 2.385, intensity 97; 2θ = 52.10°, d 1.755, intensity 33; 2θ = 53.26°, d 1.720, intensity 64; 2θ = 66.09°, d 1.414, intensity 16; 2θ = 74.89°, d 1.268, intensity 24; 2θ = 76.79°, d 1.241, intensity 10; 2θ = 77.73°, d 1.229, intensity 19

Crystal structure
a b c (Å): 7.022 7.022 5.439
angles (deg): 90.00 90.00 90.00
Element x y z (fractional)
Mn (0.000, 0.000, 0.000)
Mn (0.000, 0.500, 0.250)
Mn (0.500, 0.000, 0.750)
Mn (0.500, 0.500, 0.500)
Al (0.224, 0.750, 0.625)
Al (0.250, 0.224, 0.375)
Al (0.250, 0.276, 0.875)
Al (0.276, 0.750, 0.125)
Al (0.724, 0.250, 0.125)
Al (0.750, 0.724, 0.875)
Al (0.750, 0.776, 0.375)
Al (0.776, 0.250, 0.625)
S (0.000, 0.000, 0.500)
S (0.000, 0.500, 0.750)
S (0.500, 0.000, 0.250)
S (0.500, 0.500, 0.000)



12.
This entry pairs a crystal structure of PmSm3Pb2C with its simulated powder X-ray diffraction pattern. Radiation: λ = 1.5418 Å (Cu Kα). Structure: a crystal structure in Alexandria, relaxed with GGA-PBE.
Neutral-atom scattering factors, no anomalous dispersion.

Principal peaks in the range 10 to 80 degrees two-theta, by angle:
2θ = 25.33°, d 3.516, intensity 25; 2θ = 27.58°, d 3.235, intensity 55; 2θ = 32.56°, d 2.750, intensity 32; 2θ = 33.49°, d 2.676, intensity 100; 2θ = 36.06°, d 2.491, intensity 29; 2θ = 36.20°, d 2.482, intensity 29; 2θ = 49.37°, d 1.846, intensity 20; 2θ = 52.01°, d 1.758, intensity 20; 2θ = 62.14°, d 1.494, intensity 18; 2θ = 63.20°, d 1.471, intensity 16

Crystal structure
a b c (Å): 4.964 4.982 16.500
angles (deg): 90.00 90.00 90.00
Element x y z (fractional)
Pm (0.000, 0.000, 0.000)
Pm (0.500, 0.500, 0.500)
Sm (0.000, 0.000, 0.500)
Sm (0.000, 0.500, 0.159)
Sm (0.000, 0.500, 0.841)
Sm (0.500, 0.000, 0.341)
Sm (0.500, 0.000, 0.659)
Sm (0.500, 0.500, 0.000)
Pb (0.000, 0.500, 0.359)
Pb (0.000, 0.500, 0.641)
Pb (0.500, 0.000, 0.141)
Pb (0.500, 0.000, 0.859)
C (0.000, 0.500, 0.000)
C (0.500, 0.000, 0.500)